NdMnIn4O8: calculated X-ray diffraction stick pattern (Cu Kα, 1.54184 Å), based on a structure optimized by DFT (GGA+U).
Lines closer than 0.1° are merged.

Top 8 peaks for 10 to 80 degrees two-theta, in order of rising 2θ:
- 2θ 26.8, I 48
- 2θ 31.5, I 100
- 2θ 31.6, I 28
- 2θ 33.0, I 16
- 2θ 47.3, I 17
- 2θ 50.4, I 31
- 2θ 55.2, I 25
- 2θ 55.4, I 25

a = 6.638 Å, b = 6.638 Å, c = 6.638 Å
α = 60.21°, β = 60.21°, γ = 60.21°
Sites, in units of the cell vectors:
Nd: 0.000 0.000 0.000
Mn: 0.623 0.623 0.623
In: 0.124 0.622 0.622
In: 0.245 0.245 0.245
In: 0.622 0.124 0.622
In: 0.622 0.622 0.124
O: 0.381 0.381 0.840
O: 0.381 0.840 0.381
O: 0.382 0.382 0.382
O: 0.415 0.860 0.860
O: 0.840 0.381 0.381
O: 0.859 0.859 0.859
O: 0.860 0.415 0.860
O: 0.860 0.860 0.415